Computed powder diffractogram of NaMg2MnO4 for a wavelength of 1.5418 Å, from a cell relaxed with PBE+U.
Neutral-atom scattering factors, no anomalous dispersion.

Top 12 peaks for 5° ≤ 2θ ≤ 70°, by intensity:
41.94°, rel. 100
18.12°, rel. 62
31.84°, rel. 53
46.47°, rel. 33
34.48°, rel. 31
54.33°, rel. 24
63.71°, rel. 22
60.81°, rel. 21
31.52°, rel. 19
32.94°, rel. 14
57.58°, rel. 13
35.97°, rel. 13

Cell and atoms:
```
data_NaMg2MnO4
_chemical_formula_sum 'Na2 Mg4 Mn2 O8'
_cell_length_a 5.647
_cell_length_b 5.647
_cell_length_c 11.242
_cell_angle_alpha 90.00
_cell_angle_beta 90.00
_cell_angle_gamma 148.70
_space_group_name_H-M_alt 'P 1'
_space_group_IT_number 1
loop_
_space_group_symop_operation_xyz
'x,y,z'
loop_
_atom_site_label
_atom_site_type_symbol
_atom_site_fract_x
_atom_site_fract_y
_atom_site_fract_z
Na1 Na 0.132 0.868 0.750
Na2 Na 0.868 0.132 0.250
Mg1 Mg 0.372 0.628 0.520
Mg2 Mg 0.372 0.628 0.980
Mg3 Mg 0.628 0.372 0.020
Mg4 Mg 0.628 0.372 0.480
Mn1 Mn 0.135 0.865 0.250
Mn2 Mn 0.865 0.135 0.750
O1 O 0.000 0.000 0.000
O2 O 0.000 0.000 0.500
O3 O 0.240 0.760 0.112
O4 O 0.240 0.760 0.388
O5 O 0.470 0.530 0.750
O6 O 0.530 0.470 0.250
O7 O 0.760 0.240 0.612
O8 O 0.760 0.240 0.888
```